The following is a calculated X-ray diffraction stick pattern of CrN2. It was derived from a GGA-PBE-relaxed structure, using Cu Kα.

Peak list (12 most intense, 2θ from 5° to 70°, low angle first)
d/Å, 2theta, intensity
9.986, 8.85, 12
9.706, 9.11, 100
9.505, 9.30, 45
7.367, 12.01, 7
4.993, 17.76, 15
4.619, 19.22, 8
4.327, 20.53, 38
3.994, 22.26, 9
3.684, 24.16, 8
3.440, 25.90, 11
3.232, 27.60, 23
3.200, 27.88, 9

Atomic structure:
a = 13.5853 Å, b = 12.1851 Å, c = 12.0259 Å
α = 68.26°, β = 56.42°, γ = 55.31°
Sites, in units of the cell vectors:
Cr 0.0727 0.5475 0.6770
Cr 0.0738 0.2952 0.9262
Cr 0.2140 0.6085 0.7860
Cr 0.2500 0.2500 0.2500
Cr 0.2952 0.0738 0.7048
Cr 0.2971 0.3230 0.4525
Cr 0.3230 0.2971 0.9273
Cr 0.3915 0.7860 0.6085
Cr 0.4525 0.9273 0.2971
Cr 0.5475 0.0727 0.7029
Cr 0.6085 0.2140 0.3915
Cr 0.6770 0.7029 0.0727
Cr 0.7029 0.6770 0.5475
Cr 0.7048 0.9262 0.2952
Cr 0.7500 0.7500 0.7500
Cr 0.7860 0.3915 0.2140
Cr 0.9262 0.7048 0.0738
Cr 0.9273 0.4525 0.3230
N 0.0443 0.4343 0.8142
N 0.0726 0.6873 0.9274
N 0.0787 0.3186 0.3156
N 0.1536 0.1536 0.8464
N 0.1615 0.5978 0.6901
N 0.1671 0.4678 0.5322
N 0.1858 0.2927 0.9557
N 0.2871 0.3156 0.3186
N 0.2927 0.1858 0.5657
N 0.3053 0.6947 0.6947
N 0.3099 0.4494 0.8385
N 0.3127 0.9274 0.6873
N 0.3156 0.2871 0.0787
N 0.3186 0.0787 0.2871
N 0.4022 0.8385 0.4494
N 0.4343 0.0443 0.7073
N 0.4494 0.3099 0.4022
N 0.4678 0.1671 0.8329
N 0.5322 0.8329 0.1671
N 0.5506 0.6901 0.5978
N 0.5657 0.9557 0.2927
N 0.5978 0.1615 0.5506
N 0.6814 0.9213 0.7129
N 0.6844 0.7129 0.9213
N 0.6873 0.0726 0.3127
N 0.6901 0.5506 0.1615
N 0.6947 0.3053 0.3053
N 0.7073 0.8142 0.4343
N 0.7129 0.6844 0.6814
N 0.8142 0.7073 0.0443
N 0.8329 0.5322 0.4678
N 0.8385 0.4022 0.3099
N 0.8464 0.8464 0.1536
N 0.9213 0.6814 0.6844
N 0.9274 0.3127 0.0726
N 0.9557 0.5657 0.1858

The following is a calculated X-ray diffraction stick pattern of ErInPd. It was derived from a GGA-PBE-relaxed structure, using Cu Kα.

Peak list (12 most intense, 2θ from 5° to 70°, low angle first)
d/Å, 2theta, intensity
3.350, 26.61, 7
2.705, 33.12, 100
2.532, 35.45, 46
2.508, 35.80, 82
2.233, 40.39, 40
2.105, 42.98, 19
1.892, 48.09, 21
1.858, 49.02, 15
1.668, 55.06, 16
1.516, 61.14, 18
1.444, 64.55, 20
1.424, 65.55, 31

Atomic structure:
a = 7.7365 Å, b = 7.7365 Å, c = 3.7843 Å
α = 90.00°, β = 90.00°, γ = 120.00°
Sites, in units of the cell vectors:
Er 0.0000 0.4057 0.0000
Er 0.4057 0.0000 0.0000
Er 0.5943 0.5943 0.0000
In 0.0000 0.7381 0.5000
In 0.2619 0.2619 0.5000
In 0.7381 0.0000 0.5000
Pd 0.0000 0.0000 0.0000
Pd 0.3333 0.6667 0.5000
Pd 0.6667 0.3333 0.5000

The following is a calculated X-ray diffraction stick pattern of SrEuDyNbO6. It was derived from a GGA-PBE-relaxed structure, using Cu Kα.

Peak list (11 most intense, 2θ from 5° to 70°, low angle first)
d/Å, 2theta, intensity
4.867, 18.23, 7
4.215, 21.08, 2
2.980, 29.98, 100
2.542, 35.32, 5
2.433, 36.94, 1
2.107, 42.92, 30
1.934, 46.99, 3
1.721, 53.24, 40
1.622, 56.75, 2
1.490, 62.31, 19
1.425, 65.51, 2

Atomic structure:
a = 5.9604 Å, b = 5.9604 Å, c = 5.9604 Å
α = 60.00°, β = 60.00°, γ = 60.00°
Sites, in units of the cell vectors:
Sr 0.0000 0.0000 0.0000
Eu 0.5000 0.5000 0.5000
Dy 0.2500 0.2500 0.2500
Nb 0.7500 0.7500 0.7500
O 0.5119 0.5119 0.9881
O 0.5119 0.9881 0.5119
O 0.5119 0.9881 0.9881
O 0.9881 0.5119 0.5119
O 0.9881 0.5119 0.9881
O 0.9881 0.9881 0.5119